Record 1
Rb2ThMo3O12: simulated powder X-ray diffraction pattern (Cu Kα), based on a crystal structure in the Materials Project, relaxed with PBE+U.

Top 10 peaks for 2θ = 5–70°, sorted by position:
d/Å	2θ (°)	Rel. int.
10.362	8.53	576
8.912	9.93	328
3.451	25.82	1000
3.355	26.57	906
3.184	28.02	278
2.971	30.08	235
2.735	32.74	206
2.172	41.58	227
2.075	43.62	242
1.809	50.46	145

Structure:
Lattice parameters (Å, degrees): 11.210 11.210 5.475 102.29 102.29 69.23
Sites, in units of the cell vectors:
Rb 0.044 0.289 0.429
Rb 0.289 0.044 0.929
Rb 0.711 0.956 0.071
Rb 0.956 0.711 0.571
Th 0.376 0.624 0.750
Th 0.624 0.376 0.250
Mo 0.155 0.845 0.250
Mo 0.244 0.454 0.105
Mo 0.454 0.244 0.605
Mo 0.546 0.756 0.395
Mo 0.756 0.546 0.895
Mo 0.845 0.155 0.750
O 0.001 0.854 0.081
O 0.105 0.492 0.242
O 0.146 0.999 0.419
O 0.198 0.726 0.468
O 0.216 0.573 0.899
O 0.259 0.307 0.899
O 0.274 0.802 0.032
O 0.307 0.259 0.399
O 0.390 0.469 0.354
O 0.427 0.784 0.601
O 0.469 0.390 0.854
O 0.492 0.105 0.742
O 0.508 0.895 0.258
O 0.531 0.610 0.146
O 0.573 0.216 0.399
O 0.610 0.531 0.646
O 0.693 0.741 0.601
O 0.726 0.198 0.968
O 0.741 0.693 0.101
O 0.784 0.427 0.101
O 0.802 0.274 0.532
O 0.854 0.001 0.581
O 0.895 0.508 0.758
O 0.999 0.146 0.919



Record 2
RbTmMo2O8: simulated powder X-ray diffraction pattern (Cu Kα), based on a crystal structure in the Materials Project, relaxed with PBE+U.

Top 10 peaks for 2θ = 5–70°, sorted by position:
d/Å	2θ (°)	Rel. int.
6.186	14.32	264
3.206	27.83	1000
3.193	27.94	202
3.093	28.87	790
2.912	30.71	371
2.688	33.33	137
1.941	46.81	193
1.921	47.33	178
1.819	50.15	144
1.696	54.07	174

Structure:
Lattice parameters (Å, degrees): 7.491 7.491 7.714 118.13 118.13 88.08
Sites, in units of the cell vectors:
Rb 0.198 0.802 0.750
Rb 0.802 0.198 0.250
Tm 0.229 0.771 0.250
Tm 0.771 0.229 0.750
Mo 0.303 0.303 0.264
Mo 0.303 0.303 0.764
Mo 0.697 0.697 0.236
Mo 0.697 0.697 0.736
O 0.045 0.209 0.694
O 0.065 0.381 0.120
O 0.209 0.045 0.194
O 0.234 0.385 0.561
O 0.367 0.587 0.033
O 0.381 0.065 0.620
O 0.385 0.234 0.061
O 0.413 0.633 0.467
O 0.587 0.367 0.533
O 0.615 0.766 0.939
O 0.619 0.935 0.380
O 0.633 0.413 0.967
O 0.766 0.615 0.439
O 0.791 0.955 0.806
O 0.935 0.619 0.880
O 0.955 0.791 0.306